Record 1
This entry pairs a crystal structure of PrNd2AlF3 with its simulated X-ray powder pattern. Radiation: Cu Kα X-rays. Structure: a PBE-relaxed structure.
No peak broadening, texture or thermal motion is included.

```
data_PrNd2AlF3
_symmetry_space_group_name_H-M 'P 4/m m m'
_symmetry_Int_Tables_number 123
_symmetry_space_group_name_Hall '-P 4 2'
_cell_length_a 5.4425
_cell_length_b 5.4425
_cell_length_c 5.4677
_cell_angle_alpha 90.00
_cell_angle_beta 90.00
_cell_angle_gamma 90.00
loop_
_atom_site_label
_atom_site_type_symbol
_atom_site_fract_x
_atom_site_fract_y
_atom_site_fract_z
Pr1 Pr 0.0000 0.0000 0.0000
Nd1 Nd 0.0000 0.5000 0.5000
Al1 Al 0.0000 0.0000 0.5000
F1 F 0.0000 0.5000 0.0000
F2 F 0.5000 0.5000 0.5000
```

Most intense lines, 10° ≤ 2θ ≤ 80°, sorted by position:
2θ (°)  Rel. int.  hkl
16.26  56  0 0 1
23.08  40  1 1 0
28.36  100  1 1 1
32.76  40  0 0 2
32.91  78  2 0 0
47.12  56  2 0 2



Record 2
This entry pairs a crystal structure of Ga4Mo3C2 with its simulated X-ray powder pattern. Radiation: Cu Kα X-rays. Structure: a PBE-relaxed structure.
No peak broadening, texture or thermal motion is included.

```
data_Ga4Mo3C2
_symmetry_space_group_name_H-M 'P -6'
_symmetry_Int_Tables_number 174
_symmetry_space_group_name_Hall 'P -6'
_cell_length_a 6.8716
_cell_length_b 6.8716
_cell_length_c 2.8950
_cell_angle_alpha 90.00
_cell_angle_beta 90.00
_cell_angle_gamma 120.00
loop_
_atom_site_label
_atom_site_type_symbol
_atom_site_fract_x
_atom_site_fract_y
_atom_site_fract_z
Ga1 Ga 0.0000 0.0000 0.0000
Ga2 Ga 0.1097 0.4138 0.0000
Mo1 Mo 0.4142 0.3055 0.5000
C1 C 0.3333 0.6667 0.5000
C2 C 0.6667 0.3333 0.0000
```

Most intense lines, 10° ≤ 2θ ≤ 80°, sorted by position:
2θ (°)  Rel. int.  hkl
34.45  34  1 0 1
40.09  100  1 2 0
40.76  64  1 1 1
43.62  29  2 0 1
51.45  26  2 1 1
78.59  27  1 2 2



Record 3
This entry pairs a crystal structure of GdDyNO with its simulated X-ray powder pattern. Radiation: Cu Kα X-rays. Structure: a PBE-relaxed structure.
No peak broadening, texture or thermal motion is included.

```
data_GdDyNO
_symmetry_space_group_name_H-M 'P m m a'
_symmetry_Int_Tables_number 51
_symmetry_space_group_name_Hall '-P 2a 2a'
_cell_length_a 4.9141
_cell_length_b 3.9832
_cell_length_c 6.9157
_cell_angle_alpha 90.00
_cell_angle_beta 90.00
_cell_angle_gamma 90.00
loop_
_atom_site_label
_atom_site_type_symbol
_atom_site_fract_x
_atom_site_fract_y
_atom_site_fract_z
Gd1 Gd 0.2500 0.0000 0.1664
Dy1 Dy 0.2500 0.5000 0.6669
N1 N 0.2500 0.0000 0.8323
O1 O 0.2500 0.5000 0.3331
```

Most intense lines, 10° ≤ 2θ ≤ 80°, sorted by position:
2θ (°)  Rel. int.  hkl
25.80  42  0 0 2
31.67  100  1 1 1
36.57  22  2 0 0
45.49  36  0 2 0
56.48  20  1 2 2
59.72  31  2 2 0



Record 4
This entry pairs a crystal structure of Te2Ir with its simulated X-ray powder pattern. Radiation: Cu Kα X-rays. Structure: a PBE-relaxed structure.
No peak broadening, texture or thermal motion is included.

```
data_Te2Ir
_symmetry_space_group_name_H-M 'P b c a'
_symmetry_Int_Tables_number 61
_symmetry_space_group_name_Hall '-P 2ac 2ab'
_cell_length_a 6.4254
_cell_length_b 6.4498
_cell_length_c 6.6005
_cell_angle_alpha 90.00
_cell_angle_beta 90.00
_cell_angle_gamma 90.00
loop_
_atom_site_label
_atom_site_type_symbol
_atom_site_fract_x
_atom_site_fract_y
_atom_site_fract_z
Te1 Te 0.1319 0.1323 0.1347
Ir1 Ir 0.0000 0.0000 0.5000
```

Most intense lines, 10° ≤ 2θ ≤ 80°, sorted by position:
2θ (°)  Rel. int.  hkl
23.74  91  1 1 1
33.97  87  2 1 1
39.09  72  2 0 2
45.81  100  1 1 3
46.63  92  1 3 1
46.76  91  3 1 1



Record 5
This entry pairs a crystal structure of Li4Cd2GaSn with its simulated X-ray powder pattern. Radiation: Cu Kα X-rays. Structure: a PBE-relaxed structure.
No peak broadening, texture or thermal motion is included.

```
data_Li4Cd2GaSn
_symmetry_space_group_name_H-M 'P -4 m 2'
_symmetry_Int_Tables_number 115
_symmetry_space_group_name_Hall 'P -4 -2'
_cell_length_a 4.6391
_cell_length_b 4.6391
_cell_length_c 6.5925
_cell_angle_alpha 90.00
_cell_angle_beta 90.00
_cell_angle_gamma 90.00
loop_
_atom_site_label
_atom_site_type_symbol
_atom_site_fract_x
_atom_site_fract_y
_atom_site_fract_z
Li1 Li 0.0000 0.0000 0.0000
Li2 Li 0.0000 0.5000 0.7402
Li3 Li 0.5000 0.5000 0.5000
Cd1 Cd 0.0000 0.5000 0.2695
Ga1 Ga 0.0000 0.0000 0.5000
Sn1 Sn 0.5000 0.5000 0.0000
```

Most intense lines, 10° ≤ 2θ ≤ 80°, sorted by position:
2θ (°)  Rel. int.  hkl
23.45  100  1 0 1
38.76  97  2 0 0
45.68  16  1 0 3
45.85  33  2 1 1
61.46  13  2 1 3
70.23  21  3 1 2



Record 6
This entry pairs a crystal structure of SmBiBr2O2 with its simulated X-ray powder pattern. Radiation: Cu Kα X-rays. Structure: a PBE-relaxed structure.
No peak broadening, texture or thermal motion is included.

```
data_SmBiBr2O2
_symmetry_space_group_name_H-M 'P 4 m m'
_symmetry_Int_Tables_number 99
_symmetry_space_group_name_Hall 'P 4 -2'
_cell_length_a 3.9197
_cell_length_b 3.9197
_cell_length_c 8.2974
_cell_angle_alpha 90.00
_cell_angle_beta 90.00
_cell_angle_gamma 90.00
loop_
_atom_site_label
_atom_site_type_symbol
_atom_site_fract_x
_atom_site_fract_y
_atom_site_fract_z
Sm1 Sm 0.0000 0.0000 0.0000
Bi1 Bi 0.5000 0.5000 0.7032
Br1 Br 0.0000 0.0000 0.5057
Br2 Br 0.5000 0.5000 0.1876
O1 O 0.0000 0.5000 0.8530
```

Most intense lines, 10° ≤ 2θ ≤ 80°, sorted by position:
2θ (°)  Rel. int.  hkl
10.66  33  0 0 1
25.13  16  1 0 1
31.40  100  1 0 2
32.30  48  1 1 0
46.34  28  2 0 0
57.04  37  2 1 2